Diffraction record for TbBi3O6. The powder X-ray diffraction pattern is simulated, not measured: it uses DFT lattice parameters and positions (GGA-PBE) and Cu Kα.
No peak broadening, texture or thermal motion is included.

Structure:
Unit cell a=9.609 b=9.609 c=9.609 alpha=109.47 beta=109.47 gamma=109.47
Positions (direct):
Tb  0.000  0.003  0.500
Tb  0.003  0.500  0.000
Tb  0.497  0.497  0.497
Tb  0.500  0.000  0.003
Bi  0.031  0.750  0.781
Bi  0.217  0.967  0.250
Bi  0.250  0.217  0.967
Bi  0.250  0.719  0.469
Bi  0.283  0.533  0.750
Bi  0.469  0.250  0.719
Bi  0.533  0.750  0.283
Bi  0.719  0.469  0.250
Bi  0.750  0.283  0.533
Bi  0.750  0.781  0.031
Bi  0.781  0.031  0.750
Bi  0.967  0.250  0.217
O  0.010  0.046  0.277
O  0.035  0.490  0.767
O  0.046  0.277  0.010
O  0.223  0.269  0.733
O  0.230  0.967  0.513
O  0.231  0.454  0.465
O  0.269  0.733  0.223
O  0.270  0.783  0.737
O  0.277  0.010  0.046
O  0.454  0.465  0.231
O  0.465  0.231  0.454
O  0.490  0.767  0.035
O  0.513  0.230  0.967
O  0.533  0.763  0.546
O  0.546  0.533  0.763
O  0.717  0.987  0.954
O  0.733  0.223  0.269
O  0.737  0.270  0.783
O  0.763  0.546  0.533
O  0.767  0.035  0.490
O  0.783  0.737  0.270
O  0.954  0.717  0.987
O  0.967  0.513  0.230
O  0.987  0.954  0.717

Largest 6 diffraction maxima, in order of rising 2θ, 10° ≤ 2θ ≤ 80°:
| two_theta | intensity |
| --- | --- |
| 19.60 | 99 |
| 27.86 | 1000 |
| 32.27 | 379 |
| 41.50 | 97 |
| 46.29 | 378 |
| 54.89 | 332 |